[1]
Diffraction record for LiNiP4O12. The PXRD pattern is calculated, not measured: it uses a cell relaxed with GGA+U and Cu Kα (weighted mean of Kα1 and Kα2).
Lines closer than 0.1° are merged.

The 10 most intense peaks (5° ≤ 2θ ≤ 70°), low angle first:
| 2θ (°) | d_spacing | I/Imax |
| --- | --- | --- |
| 13.39 | 6.613 | 21 |
| 18.57 | 4.778 | 35 |
| 20.36 | 4.362 | 42 |
| 22.84 | 3.894 | 62 |
| 23.11 | 3.849 | 54 |
| 23.51 | 3.784 | 25 |
| 26.80 | 3.327 | 100 |
| 26.97 | 3.306 | 18 |
| 32.76 | 2.734 | 19 |
| 33.11 | 2.705 | 59 |

Structure:
a = 8.913 Å, b = 8.913 Å, c = 9.557 Å
α = 121.84°, β = 121.84°, γ = 48.88°
Fractional positions:
Li1 0.202 0.798 0.750
Li2 0.798 0.202 0.250
Ni1 0.377 0.623 0.250
Ni2 0.623 0.377 0.750
P1 0.074 0.206 0.636
P2 0.196 0.526 0.824
P3 0.206 0.074 0.136
P4 0.474 0.804 0.676
P5 0.526 0.196 0.324
P6 0.794 0.926 0.864
P7 0.804 0.474 0.176
P8 0.926 0.794 0.364
O1 0.022 0.115 0.445
O2 0.030 0.276 0.230
O3 0.100 0.672 0.287
O4 0.115 0.022 0.945
O5 0.161 0.341 0.679
O6 0.249 0.522 0.999
O7 0.276 0.030 0.730
O8 0.328 0.900 0.213
O9 0.335 0.529 0.782
O10 0.341 0.161 0.179
O11 0.471 0.665 0.718
O12 0.478 0.751 0.501
O13 0.522 0.249 0.499
O14 0.529 0.335 0.282
O15 0.659 0.839 0.821
O16 0.665 0.471 0.218
O17 0.672 0.100 0.787
O18 0.724 0.970 0.270
O19 0.751 0.478 0.001
O20 0.839 0.659 0.321
O21 0.885 0.978 0.055
O22 0.900 0.328 0.713
O23 0.970 0.724 0.770
O24 0.978 0.885 0.555

[2]
Diffraction record for V12Fe6O35. The PXRD pattern is calculated, not measured: it uses a cell relaxed with GGA+U and Cu Kα (weighted mean of Kα1 and Kα2).
Lines closer than 0.1° are merged.

The 10 most intense peaks (5° ≤ 2θ ≤ 70°), low angle first:
| 2θ (°) | d_spacing | I/Imax |
| --- | --- | --- |
| 26.63 | 3.348 | 95 |
| 27.57 | 3.235 | 54 |
| 28.22 | 3.162 | 65 |
| 28.39 | 3.144 | 23 |
| 29.02 | 3.077 | 29 |
| 29.20 | 3.058 | 100 |
| 42.57 | 2.124 | 23 |
| 43.69 | 2.072 | 24 |
| 44.84 | 2.021 | 22 |
| 55.58 | 1.653 | 21 |

Structure:
a = 6.632 Å, b = 9.469 Å, c = 10.289 Å
α = 98.43°, β = 95.00°, γ = 100.71°
Fractional positions:
V1 0.000 0.000 0.000
V2 0.007 0.405 0.756
V3 0.048 0.714 0.479
V4 0.378 0.717 0.880
V5 0.430 0.431 0.359
V6 0.488 0.090 0.958
V7 0.503 0.399 0.688
V8 0.601 0.021 0.284
V9 0.832 0.414 0.075
V10 0.925 0.035 0.676
V11 0.938 0.342 0.403
V12 0.981 0.775 0.166
Fe1 0.126 0.067 0.371
Fe2 0.307 0.367 0.996
Fe3 0.417 0.023 0.594
Fe4 0.474 0.659 0.191
Fe5 0.559 0.725 0.569
Fe6 0.871 0.710 0.793
O1 0.025 0.418 0.967
O2 0.059 0.985 0.176
O3 0.063 0.546 0.401
O4 0.117 0.051 0.571
O5 0.134 0.626 0.795
O6 0.204 0.718 0.175
O7 0.209 0.287 0.378
O8 0.217 0.148 0.988
O9 0.290 0.799 0.565
O10 0.296 0.381 0.790
O11 0.364 0.885 0.962
O12 0.368 0.436 0.187
O13 0.403 0.011 0.390
O14 0.436 0.608 0.993
O15 0.445 0.498 0.566
O16 0.462 0.061 0.793
O17 0.509 0.633 0.381
O18 0.520 0.235 0.611
O19 0.524 0.102 0.161
O20 0.569 0.730 0.771
O21 0.592 0.308 0.992
O22 0.647 0.852 0.216
O23 0.650 0.368 0.376
O24 0.687 0.946 0.589
O25 0.754 0.484 0.773
O26 0.785 0.065 0.987
O27 0.793 0.591 0.145
O28 0.840 0.126 0.370
O29 0.862 0.700 0.590
O30 0.908 0.333 0.198
O31 0.909 0.205 0.752
O32 0.917 0.792 0.987
O33 0.977 0.376 0.577
O34 0.986 0.932 0.800
O35 0.988 0.821 0.360